No. 1
Diffraction record for HoZn9Au2. The powder X-ray diffraction pattern is simulated, not measured: it uses DFT lattice parameters and positions (PBE) and Cu Kα.
Intensities are scaled so that the largest is 100.

Structural model:
a = 10.7323 Å, b = 10.7323 Å, c = 6.9177 Å
α = 90.00°, β = 90.00°, γ = 90.00°
Space group I4_1/amd (No. 141, origin choice 2)
Symmetry-distinct sites (fractional):
Ho1 0.0000 0.2500 0.3750 (multiplicity 4)
Zn1 0.0000 0.2500 0.8750 (multiplicity 4)
Zn2 0.1204 0.0427 0.6706 (multiplicity 32)
Au1 0.0000 0.0000 0.0000 (multiplicity 8)

Main lines, sorted by position (5 to 70 degrees two-theta):
2θ/deg  intensity
22.55  60
32.75  100
33.40  45
37.11  95
37.48  68
39.99  54
43.54  36
44.18  88
46.03  89
47.48  35

***

No. 2
Diffraction record for Au4I5. The powder X-ray diffraction pattern is simulated, not measured: it uses DFT lattice parameters and positions (PBE) and Cu Kα.
Intensities are scaled so that the largest is 100.

Structural model:
a = 12.3950 Å, b = 12.3950 Å, c = 4.7613 Å
α = 90.00°, β = 90.00°, γ = 90.00°
Space group I4/m (No. 87)
Symmetry-distinct sites (fractional):
Au1 0.0622 0.7810 0.0000 (multiplicity 8)
I1 0.0000 0.0000 0.0000 (multiplicity 2)
I2 0.0945 0.6928 0.5000 (multiplicity 8)

Main lines, sorted by position (5 to 70 degrees two-theta):
2θ/deg  intensity
19.98  42
20.26  29
22.69  100
32.11  35
32.30  14
35.31  32
37.79  22
41.05  36
44.53  34
53.17  28

***

No. 3
Diffraction record for InAu3I9. The powder X-ray diffraction pattern is simulated, not measured: it uses DFT lattice parameters and positions (PBE) and Cu Kα.
Intensities are scaled so that the largest is 100.

Structural model:
a = 21.1704 Å, b = 8.7484 Å, c = 14.9646 Å
α = 90.00°, β = 123.91°, γ = 90.00°
Space group Cc (No. 9)
Symmetry-distinct sites (fractional):
In1 0.0000 0.2503 0.0000 (multiplicity 4)
Au1 0.0552 0.1381 0.7211 (multiplicity 4)
Au2 0.2499 0.4096 0.2503 (multiplicity 4)
Au3 0.4443 0.1380 0.7788 (multiplicity 4)
I1 0.0437 0.3224 0.2282 (multiplicity 4)
I2 0.0869 0.0351 0.5822 (multiplicity 4)
I3 0.1387 0.4210 0.0491 (multiplicity 4)
I4 0.2030 0.2632 0.8542 (multiplicity 4)
I5 0.2496 0.0020 0.9996 (multiplicity 4)
I6 0.2959 0.2595 0.6447 (multiplicity 4)
I7 0.3613 0.4200 0.4515 (multiplicity 4)
I8 0.4133 0.0361 0.9186 (multiplicity 4)
I9 0.4559 0.3220 0.2720 (multiplicity 4)

Main lines, sorted by position (5 to 70 degrees two-theta):
2θ/deg  intensity
14.80  27
17.17  57
20.75  35
21.54  100
23.34  33
24.50  31
25.50  42
30.80  27
33.27  30
42.75  27

***

No. 4
Diffraction record for In3AuI6. The powder X-ray diffraction pattern is simulated, not measured: it uses DFT lattice parameters and positions (PBE) and Cu Kα.
Intensities are scaled so that the largest is 100.

Structural model:
a = 9.1749 Å, b = 8.4775 Å, c = 12.7488 Å
α = 90.00°, β = 109.35°, γ = 90.00°
Space group P2_1 (No. 4)
Symmetry-distinct sites (fractional):
In1 0.2417 0.0000 0.1911 (multiplicity 2)
In2 0.2448 0.5925 0.4149 (multiplicity 2)
In3 0.2465 0.9572 0.7857 (multiplicity 2)
Au1 0.3485 0.7335 0.9771 (multiplicity 2)
I1 0.0028 0.8010 0.3190 (multiplicity 2)
I2 0.0689 0.7341 0.9842 (multiplicity 2)
I3 0.1222 0.2928 0.3712 (multiplicity 2)
I4 0.3611 0.2421 0.0038 (multiplicity 2)
I5 0.3635 0.6428 0.6422 (multiplicity 2)
I6 0.4680 0.6556 0.3184 (multiplicity 2)

Main lines, sorted by position (5 to 70 degrees two-theta):
2θ/deg  intensity
7.35  32
14.62  39
20.96  54
22.19  97
23.10  33
23.41  53
24.77  41
25.74  69
30.69  100
33.37  39